No. 1
For KGa4Se7, a structure optimized by DFT (GGA-PBE) gives the theoretical X-ray powder pattern in this record (Cu Kα).
Intensities are scaled so that the largest is 100.

Crystal structure
a = 15.6593 Å, b = 6.6320 Å, c = 6.4016 Å
α = 90.00°, β = 90.00°, γ = 90.00°
Space group Pmn2_1 (No. 31)
Inequivalent atoms, fractional coordinates:
K 0.0000 0.1788 0.0000 [2 per cell]
Ga 0.1215 0.6674 0.6218 [4 per cell]
Ga 0.2493 0.1808 0.6021 [4 per cell]
Se 0.0000 0.8499 0.4755 [2 per cell]
Se 0.1143 0.3215 0.4982 [4 per cell]
Se 0.1140 0.6875 0.0001 [4 per cell]
Se 0.2439 0.1788 0.9943 [4 per cell]

The 10 most intense peaks (2θ from 10° to 80°), by intensity:
d_spacing	Position (°2θ)	I/Imax
3.201	27.9	100
2.983	30.0	97
1.803	50.6	76
3.371	26.4	74
1.925	47.2	69
3.316	26.9	65
1.650	55.7	49
2.944	30.4	38
1.957	46.4	35
1.794	50.9	31

No. 2
For SrScIr2F, a structure optimized by DFT (GGA-PBE) gives the theoretical X-ray powder pattern in this record (Cu Kα).
Intensities are scaled so that the largest is 100.

Crystal structure
a = 5.0821 Å, b = 5.0821 Å, c = 4.1257 Å
α = 90.00°, β = 90.00°, γ = 90.00°
Space group P4/mmm (No. 123)
Inequivalent atoms, fractional coordinates:
Sr 0.0000 0.0000 0.0000 [1 per cell]
Sc 0.5000 0.5000 0.5000 [1 per cell]
Ir 0.0000 0.5000 0.5000 [2 per cell]
F 0.5000 0.5000 0.0000 [1 per cell]

The 10 most intense peaks (2θ from 10° to 80°), by intensity:
d_spacing	Position (°2θ)	I/Imax
2.710	33.1	100
2.541	35.3	61
4.126	21.5	37
1.498	62.0	33
1.602	57.5	29
2.164	41.7	27
3.594	24.8	26
1.797	50.8	21
1.355	69.4	17
2.063	43.9	16

No. 3
For Nd7AlTl5, a structure optimized by DFT (GGA-PBE) gives the theoretical X-ray powder pattern in this record (Cu Kα).
Intensities are scaled so that the largest is 100.

Crystal structure
a = 6.7596 Å, b = 10.8092 Å, c = 11.1163 Å
α = 90.00°, β = 90.00°, γ = 90.00°
Space group Imm2 (No. 44)
Inequivalent atoms, fractional coordinates:
Nd 0.0000 0.0000 0.0000 [2 per cell]
Nd 0.0000 0.0000 0.3714 [2 per cell]
Nd 0.0000 0.3112 0.5981 [4 per cell]
Nd 0.0000 0.3293 0.0811 [4 per cell]
Nd 0.0000 0.5000 0.3237 [2 per cell]
Al 0.0000 0.0000 0.6599 [2 per cell]
Tl 0.0000 0.5000 0.8324 [2 per cell]
Tl 0.2393 0.2366 0.8432 [8 per cell]

The 10 most intense peaks (2θ from 10° to 80°), by intensity:
d_spacing	Position (°2θ)	I/Imax
2.547	35.2	100
2.780	32.2	41
2.760	32.4	40
2.431	37.0	35
2.866	31.2	33
5.558	15.9	28
2.888	31.0	28
1.556	59.4	26
2.702	33.2	21
1.590	58.0	17

No. 4
For NiMo3S4, a structure optimized by DFT (GGA-PBE) gives the theoretical X-ray powder pattern in this record (Cu Kα).
Intensities are scaled so that the largest is 100.

Crystal structure
a = 6.3810 Å, b = 6.5334 Å, c = 6.5401 Å
α = 97.78°, β = 97.04°, γ = 91.35°
Space group P-1 (No. 2)
Inequivalent atoms, fractional coordinates:
Ni 0.1594 0.4055 0.4415 [2 per cell]
Mo 0.2205 0.0438 0.9089 [2 per cell]
Mo 0.4070 0.7119 0.0355 [2 per cell]
Mo 0.4575 0.1021 0.2926 [2 per cell]
S 0.1425 0.8846 0.2189 [2 per cell]
S 0.1991 0.6891 0.6908 [2 per cell]
S 0.2689 0.3765 0.1286 [2 per cell]
S 0.3599 0.2208 0.6432 [2 per cell]

The 10 most intense peaks (2θ from 10° to 80°), by intensity:
d_spacing	Position (°2θ)	I/Imax
6.448	13.7	100
6.328	14.0	83
3.370	26.4	57
2.600	34.5	48
1.894	48.1	47
1.938	46.9	46
3.053	29.3	41
4.915	18.0	39
2.744	32.6	35
2.241	40.2	34